Simulated PXRD pattern
Compound: Ba2YMn3O7
Radiation: copper Kα
Structure: a DFT-relaxed cell (PBE+U, Alexandria)
Intensities are scaled so that the largest is 100.

Structural model:
Lattice parameters (Å, degrees): 3.9455 4.0953 11.8816 90.00 90.00 90.00
Space group Pmmm (No. 47)
Asymmetric unit:
Ba 0.0000 0.0000 0.1847 (multiplicity 2)
Y 0.0000 0.0000 0.5000 (multiplicity 1)
Mn 0.5000 0.5000 0.0000 (multiplicity 1)
Mn 0.5000 0.5000 0.3471 (multiplicity 2)
O 0.0000 0.5000 0.3817 (multiplicity 2)
O 0.5000 0.0000 0.0000 (multiplicity 1)
O 0.5000 0.0000 0.3793 (multiplicity 2)
O 0.5000 0.5000 0.1674 (multiplicity 2)

Largest 10 diffraction maxima, sorted by position, 10° ≤ 2θ ≤ 90°:
- 3.954 Å, rel. 10, (0 0 3)
- 2.844 Å, rel. 100, (1 1 0)
- 2.795 Å, rel. 53, (1 0 3)
- 2.309 Å, rel. 18, (1 1 3)
- 2.048 Å, rel. 18, (0 2 0)
- 1.973 Å, rel. 16, (2 0 0)
- 1.652 Å, rel. 21, (1 2 3)
- 1.625 Å, rel. 19, (1 1 6)
- 1.622 Å, rel. 18, (2 1 3)
- 1.421 Å, rel. 10, (2 2 0)